The following is a simulated PXRD pattern of SiH2. It was derived from a cell relaxed with GGA-PBE, using copper Kα.
Neutral-atom scattering factors, no anomalous dispersion.

Most intense lines, 2θ = 10–90°, by intensity:
- 19.0°, I 100, hkl 1 0 -1
- 13.7°, I 74, hkl 0 1 1
- 12.7°, I 34, hkl 0 2 0
- 18.2°, I 28, hkl 1 1 0
- 25.7°, I 27, hkl 0 4 0
- 20.1°, I 23, hkl 1 1 -1
- 26.1°, I 21, hkl 1 2 1
- 22.7°, I 14, hkl 1 0 1
- 40.9°, I 12, hkl 0 6 1
- 27.6°, I 12, hkl 0 2 2
- 41.8°, I 11, hkl 1 4 2
- 32.1°, I 11, hkl 1 4 -1

Structure:
```
SiH2
1.0
5.3110 0.0000 0.0000
0.0000 13.8874 0.0000
-1.3610 0.0000 7.3055
Si H
10 20
direct
0.0443 0.2500 0.4151
0.1812 0.6125 0.7141
0.1812 0.8875 0.7141
0.4299 0.6652 0.9932
0.4299 0.8348 0.9932
0.5701 0.1652 0.0068
0.5701 0.3348 0.0068
0.8188 0.1125 0.2859
0.8188 0.3875 0.2859
0.9557 0.7500 0.5849
0.0009 0.5337 0.7439
0.0009 0.9663 0.7439
0.0857 0.2500 0.6197
0.3024 0.1271 0.9808
0.3024 0.3729 0.9808
0.3043 0.2500 0.3626
0.3129 0.6317 0.1512
0.3129 0.8683 0.1512
0.3494 0.5737 0.5892
0.3494 0.9263 0.5892
0.6506 0.0737 0.4108
0.6506 0.4263 0.4108
0.6871 0.1317 0.8488
0.6871 0.3683 0.8488
0.6957 0.7500 0.6374
0.6976 0.6271 0.0192
0.6976 0.8729 0.0192
0.9143 0.7500 0.3803
0.9991 0.0337 0.2561
0.9991 0.4663 0.2561
```